No. 1
This entry pairs a crystal structure of ThGa2CuPd2 with its calculated powder X-ray diffraction pattern. Radiation: Cu Kα, 1.54184 Å. Structure: a GGA-PBE-relaxed structure.
Neutral-atom scattering factors, no anomalous dispersion.

Cell and atoms:
a = 4.508 Å, b = 4.508 Å, c = 5.642 Å
α = 90.00°, β = 90.00°, γ = 90.00°
Positions (direct):
Th: 0.000 0.000 0.000
Ga: 0.000 0.500 0.500
Ga: 0.500 0.000 0.500
Cu: 0.000 0.000 0.500
Pd: 0.500 0.500 0.239
Pd: 0.500 0.500 0.761

Peak list (10 most intense, 2θ from 10° to 90°, low angle first)
Position (°2θ)	I (rel.)
25.29	20
27.99	56
32.26	59
37.62	100
40.00	71
56.07	63
57.86	24
71.09	15
80.30	18
84.83	19

No. 2
This entry pairs a crystal structure of Pm2Ga6Cu with its calculated powder X-ray diffraction pattern. Radiation: Cu Kα, 1.54184 Å. Structure: a GGA-PBE-relaxed structure.
Neutral-atom scattering factors, no anomalous dispersion.

Cell and atoms:
a = 5.946 Å, b = 5.946 Å, c = 5.678 Å
α = 90.02°, β = 90.02°, γ = 59.99°
Positions (direct):
Pm: 0.166 0.166 0.347
Pm: 0.834 0.834 0.653
Ga: 0.150 0.673 0.176
Ga: 0.326 0.326 0.821
Ga: 0.327 0.850 0.824
Ga: 0.673 0.150 0.176
Ga: 0.674 0.674 0.179
Ga: 0.850 0.327 0.824
Cu: 0.500 0.500 0.500

Peak list (10 most intense, 2θ from 10° to 90°, low angle first)
Position (°2θ)	I (rel.)
30.06	15
34.04	41
34.85	19
36.13	51
38.39	100
57.40	20
57.74	13
62.48	24
69.24	13
75.77	13

No. 3
This entry pairs a crystal structure of PmGa5Cu with its calculated powder X-ray diffraction pattern. Radiation: Cu Kα, 1.54184 Å. Structure: a GGA-PBE-relaxed structure.
Neutral-atom scattering factors, no anomalous dispersion.

Cell and atoms:
a = 4.389 Å, b = 4.389 Å, c = 6.928 Å
α = 90.00°, β = 90.00°, γ = 90.00°
Positions (direct):
Pm: 0.000 0.000 0.000
Ga: 0.000 0.500 0.305
Ga: 0.000 0.500 0.695
Ga: 0.500 0.000 0.305
Ga: 0.500 0.000 0.695
Ga: 0.500 0.500 0.000
Cu: 0.000 0.000 0.500

Peak list (10 most intense, 2θ from 10° to 90°, low angle first)
Position (°2θ)	I (rel.)
20.23	18
31.59	36
32.94	11
38.97	100
41.13	48
57.97	17
59.57	15
69.04	14
73.51	33
75.08	9

No. 4
This entry pairs a crystal structure of Pm2GaCu7 with its calculated powder X-ray diffraction pattern. Radiation: Cu Kα, 1.54184 Å. Structure: a GGA-PBE-relaxed structure.
Neutral-atom scattering factors, no anomalous dispersion.

Cell and atoms:
a = 4.047 Å, b = 4.047 Å, c = 10.374 Å
α = 90.00°, β = 90.00°, γ = 90.00°
Positions (direct):
Pm: 0.000 0.500 0.244
Pm: 0.500 0.000 0.756
Ga: 0.000 0.000 0.500
Cu: 0.000 0.000 0.000
Cu: 0.000 0.500 0.638
Cu: 0.000 0.500 0.869
Cu: 0.500 0.000 0.131
Cu: 0.500 0.000 0.362
Cu: 0.500 0.500 0.000
Cu: 0.500 0.500 0.500

Peak list (10 most intense, 2θ from 10° to 90°, low angle first)
Position (°2θ)	I (rel.)
31.25	16
34.10	63
35.83	100
44.78	52
49.36	30
57.46	27
65.19	16
68.83	21
76.69	20
89.83	12

No. 5
This entry pairs a crystal structure of Pm3Ga4Cu4 with its calculated powder X-ray diffraction pattern. Radiation: Cu Kα, 1.54184 Å. Structure: a GGA-PBE-relaxed structure.
Neutral-atom scattering factors, no anomalous dispersion.

Cell and atoms:
a = 12.833 Å, b = 12.833 Å, c = 12.833 Å
α = 161.76°, β = 160.78°, γ = 26.61°
Positions (direct):
Pm: 0.000 0.000 0.000
Pm: 0.349 0.849 0.500
Pm: 0.651 0.151 0.500
Ga: 0.197 0.697 0.500
Ga: 0.448 0.448 0.000
Ga: 0.552 0.552 0.000
Ga: 0.803 0.303 0.500
Cu: 0.098 0.598 0.500
Cu: 0.251 0.251 0.000
Cu: 0.749 0.749 0.000
Cu: 0.902 0.402 0.500

Peak list (10 most intense, 2θ from 10° to 90°, low angle first)
Position (°2θ)	I (rel.)
31.16	26
33.41	59
33.60	100
38.66	30
42.18	39
44.55	29
45.20	22
54.85	28
60.43	16
63.03	20

No. 6
This entry pairs a crystal structure of PmGaCu3 with its calculated powder X-ray diffraction pattern. Radiation: Cu Kα, 1.54184 Å. Structure: a GGA-PBE-relaxed structure.
Neutral-atom scattering factors, no anomalous dispersion.

Cell and atoms:
a = 10.694 Å, b = 10.694 Å, c = 10.694 Å
α = 156.40°, β = 156.40°, γ = 33.62°
Positions (direct):
Pm: 0.000 0.000 0.000
Pm: 0.750 0.250 0.500
Ga: 0.409 0.409 0.000
Ga: 0.591 0.591 0.000
Cu: 0.176 0.676 0.500
Cu: 0.324 0.824 0.500
Cu: 0.375 0.126 0.249
Cu: 0.874 0.123 0.249
Cu: 0.874 0.625 0.751
Cu: 0.877 0.126 0.751

Peak list (10 most intense, 2θ from 10° to 90°, low angle first)
Position (°2θ)	I (rel.)
20.77	39
29.89	31
30.19	100
36.97	79
41.28	37
44.91	23
48.41	33
51.80	59
53.69	19
84.56	26

No. 7
This entry pairs a crystal structure of PmGa2Cu9 with its calculated powder X-ray diffraction pattern. Radiation: Cu Kα, 1.54184 Å. Structure: a GGA-PBE-relaxed structure.
Neutral-atom scattering factors, no anomalous dispersion.

Cell and atoms:
a = 7.922 Å, b = 7.922 Å, c = 7.922 Å
α = 100.10°, β = 100.10°, γ = 130.49°
Positions (direct):
Pm: 0.375 0.625 0.750
Pm: 0.625 0.375 0.250
Ga: 0.000 0.000 0.000
Ga: 0.000 0.000 0.500
Ga: 0.000 0.500 0.000
Ga: 0.500 0.000 0.500
Cu: 0.125 0.875 0.250
Cu: 0.140 0.559 0.336
Cu: 0.140 0.804 0.581
Cu: 0.196 0.277 0.336
Cu: 0.196 0.860 0.919
Cu: 0.277 0.196 0.836
Cu: 0.277 0.441 0.081
Cu: 0.441 0.277 0.581
Cu: 0.441 0.860 0.164
Cu: 0.559 0.140 0.836
Cu: 0.559 0.723 0.419
Cu: 0.723 0.559 0.919
Cu: 0.723 0.804 0.164
Cu: 0.804 0.140 0.081
Cu: 0.804 0.723 0.664
Cu: 0.860 0.196 0.419
Cu: 0.860 0.441 0.664
Cu: 0.875 0.125 0.750

Peak list (10 most intense, 2θ from 10° to 90°, low angle first)
Position (°2θ)	I (rel.)
29.64	20
34.54	42
39.00	100
39.62	74
41.80	34
44.91	17
46.69	49
48.52	34
59.88	18
71.47	28

No. 8
This entry pairs a crystal structure of PmGa4Cu2Pt with its calculated powder X-ray diffraction pattern. Radiation: Cu Kα, 1.54184 Å. Structure: a GGA-PBE-relaxed structure.
Neutral-atom scattering factors, no anomalous dispersion.

Cell and atoms:
a = 9.383 Å, b = 9.383 Å, c = 9.383 Å
α = 25.95°, β = 25.95°, γ = 25.95°
Positions (direct):
Pm: 0.000 0.000 0.000
Ga: 0.127 0.127 0.127
Ga: 0.401 0.401 0.401
Ga: 0.599 0.599 0.599
Ga: 0.873 0.873 0.873
Cu: 0.247 0.247 0.247
Cu: 0.753 0.753 0.753
Pt: 0.500 0.500 0.500

Peak list (10 most intense, 2θ from 10° to 90°, low angle first)
Position (°2θ)	I (rel.)
25.28	34
27.75	21
36.12	100
41.42	17
42.94	85
44.27	13
57.33	26
59.97	16
74.22	23
78.68	14

No. 9
This entry pairs a crystal structure of Pm2Ga4Cu3Si with its calculated powder X-ray diffraction pattern. Radiation: Cu Kα, 1.54184 Å. Structure: a GGA-PBE-relaxed structure.
Neutral-atom scattering factors, no anomalous dispersion.

Cell and atoms:
a = 4.149 Å, b = 4.149 Å, c = 10.413 Å
α = 90.00°, β = 90.00°, γ = 90.00°
Positions (direct):
Pm: 0.000 0.500 0.249
Pm: 0.500 0.000 0.751
Ga: 0.000 0.000 0.000
Ga: 0.000 0.500 0.640
Ga: 0.500 0.000 0.360
Ga: 0.500 0.500 0.000
Cu: 0.000 0.500 0.869
Cu: 0.500 0.000 0.131
Cu: 0.500 0.500 0.500
Si: 0.000 0.000 0.500

Peak list (10 most intense, 2θ from 10° to 90°, low angle first)
Position (°2θ)	I (rel.)
30.47	24
33.67	69
35.11	100
43.63	55
48.94	35
56.22	31
63.42	18
67.63	26
74.60	21
88.73	12

No. 10
This entry pairs a crystal structure of PmZnGaCu2 with its calculated powder X-ray diffraction pattern. Radiation: Cu Kα, 1.54184 Å. Structure: a GGA-PBE-relaxed structure.
Neutral-atom scattering factors, no anomalous dispersion.

Cell and atoms:
a = 6.014 Å, b = 6.014 Å, c = 6.014 Å
α = 140.96°, β = 138.63°, γ = 58.19°
Positions (direct):
Pm: 0.000 0.000 0.000
Zn: 0.254 0.754 0.500
Ga: 0.619 0.619 0.000
Cu: 0.389 0.389 0.000
Cu: 0.759 0.259 0.500

Peak list (10 most intense, 2θ from 10° to 90°, low angle first)
Position (°2θ)	I (rel.)
30.62	17
33.14	30
33.95	32
35.16	100
42.55	29
45.12	24
48.30	18
48.90	14
55.51	16
63.75	17

No. 11
This entry pairs a crystal structure of Pm4ZnGaCu2 with its calculated powder X-ray diffraction pattern. Radiation: Cu Kα, 1.54184 Å. Structure: a GGA-PBE-relaxed structure.
Neutral-atom scattering factors, no anomalous dispersion.

Cell and atoms:
a = 8.902 Å, b = 8.902 Å, c = 8.902 Å
α = 33.39°, β = 33.39°, γ = 33.39°
Positions (direct):
Pm: 0.124 0.124 0.124
Pm: 0.375 0.375 0.375
Pm: 0.625 0.625 0.625
Pm: 0.876 0.876 0.876
Zn: 0.000 0.000 0.000
Ga: 0.500 0.500 0.500
Cu: 0.252 0.252 0.252
Cu: 0.748 0.748 0.748

Peak list (10 most intense, 2θ from 10° to 90°, low angle first)
Position (°2θ)	I (rel.)
24.57	30
34.96	100
35.09	99
50.37	35
62.61	18
62.90	53
73.84	11
74.16	11
84.46	15
84.69	15

No. 12
This entry pairs a crystal structure of Pr3Ga5Cu6 with its calculated powder X-ray diffraction pattern. Radiation: Cu Kα, 1.54184 Å. Structure: a GGA-PBE-relaxed structure.
Neutral-atom scattering factors, no anomalous dispersion.

Cell and atoms:
a = 8.170 Å, b = 8.170 Å, c = 8.170 Å
α = 148.81°, β = 114.59°, γ = 74.24°
Positions (direct):
Pr: 0.000 0.000 0.000
Pr: 0.304 0.304 0.000
Pr: 0.696 0.696 0.000
Ga: 0.015 0.661 0.353
Ga: 0.308 0.661 0.647
Ga: 0.500 0.000 0.500
Ga: 0.692 0.339 0.353
Ga: 0.985 0.339 0.647
Cu: 0.150 0.869 0.281
Cu: 0.307 0.500 0.807
Cu: 0.412 0.131 0.281
Cu: 0.588 0.869 0.719
Cu: 0.693 0.500 0.193
Cu: 0.850 0.131 0.719

Peak list (10 most intense, 2θ from 10° to 90°, low angle first)
Position (°2θ)	I (rel.)
28.91	28
34.21	27
35.47	100
35.80	24
36.76	42
36.90	33
39.36	27
41.09	52
41.59	24
56.40	19

Copy entry 6 word for word.
This entry pairs a crystal structure of PmGaCu3 with its calculated powder X-ray diffraction pattern. Radiation: Cu Kα, 1.54184 Å. Structure: a GGA-PBE-relaxed structure.
Neutral-atom scattering factors, no anomalous dispersion.

Cell and atoms:
a = 10.694 Å, b = 10.694 Å, c = 10.694 Å
α = 156.40°, β = 156.40°, γ = 33.62°
Positions (direct):
Pm: 0.000 0.000 0.000
Pm: 0.750 0.250 0.500
Ga: 0.409 0.409 0.000
Ga: 0.591 0.591 0.000
Cu: 0.176 0.676 0.500
Cu: 0.324 0.824 0.500
Cu: 0.375 0.126 0.249
Cu: 0.874 0.123 0.249
Cu: 0.874 0.625 0.751
Cu: 0.877 0.126 0.751

Peak list (10 most intense, 2θ from 10° to 90°, low angle first)
Position (°2θ)	I (rel.)
20.77	39
29.89	31
30.19	100
36.97	79
41.28	37
44.91	23
48.41	33
51.80	59
53.69	19
84.56	26